The following is a computed powder XRD pattern of PmGdI2O2. It was derived from a structure optimized by DFT (GGA-PBE), using Cu Kα, 1.54184 Å.
No peak broadening, texture or thermal motion is included.

Crystal structure
```
PmGdI2O2
1.0
4.0071 0.0000 0.0000
0.0000 4.0071 0.0000
0.0000 0.0000 9.2745
Pm Gd I O
1 1 2 2
Direct
0.0000 0.0000 0.0000 Pm
0.5000 0.5000 0.2450 Gd
0.0000 0.0000 0.4493 I
0.5000 0.5000 0.7946 I
0.0000 0.5000 0.1266 O
0.5000 0.0000 0.1266 O
```

The 10 most intense peaks (10 to 90 degrees two-theta), in order of falling intensity:
d (Å), intensity
3.032, 100
2.833, 43
1.672, 34
2.004, 26
1.551, 16
1.794, 15
2.448, 14
1.417, 10
1.267, 7
1.284, 7

=====

The following is a computed powder XRD pattern of Gd5Se2I3O10. It was derived from a structure optimized by DFT (GGA-PBE), using Cu Kα, 1.54184 Å.
No peak broadening, texture or thermal motion is included.

Crystal structure
```
Gd5Se2I3O10
1.0
6.2053 -2.7570 0.0000
6.2053 2.7570 0.0000
-0.6845 0.0000 10.2678
Gd Se I O
5 2 3 10
Direct
0.0000 0.0000 0.0000 Gd
0.2952 0.2952 0.0985 Gd
0.3873 0.3873 0.7776 Gd
0.6127 0.6127 0.2224 Gd
0.7048 0.7048 0.9015 Gd
0.0742 0.0742 0.6996 Se
0.9258 0.9258 0.3004 Se
0.1888 0.1888 0.3771 I
0.5000 0.5000 0.5000 I
0.8112 0.8112 0.6229 I
0.1030 0.5999 0.9432 O
0.1971 0.7193 0.1931 O
0.2080 0.2080 0.7441 O
0.2807 0.8029 0.8069 O
0.4001 0.8970 0.0568 O
0.5999 0.1030 0.9432 O
0.7193 0.1971 0.1931 O
0.7920 0.7920 0.2559 O
0.8029 0.2807 0.8069 O
0.8970 0.4001 0.0568 O
```

The 10 most intense peaks (10 to 90 degrees two-theta), in order of falling intensity:
d (Å), intensity
3.098, 100
2.867, 91
2.757, 35
1.941, 34
2.733, 30
1.679, 24
1.774, 19
2.317, 16
1.612, 16
1.650, 16

=====

The following is a computed powder XRD pattern of SmGdI2O2. It was derived from a structure optimized by DFT (GGA-PBE), using Cu Kα, 1.54184 Å.
No peak broadening, texture or thermal motion is included.

Crystal structure
```
SmGdI2O2
1.0
4.0000 0.0000 0.0000
0.0000 4.0000 0.0000
0.0000 0.0000 9.2689
Sm Gd I O
1 1 2 2
Direct
0.0000 0.0000 0.0000 Sm
0.5000 0.5000 0.7549 Gd
0.0000 0.0000 0.5491 I
0.5000 0.5000 0.2063 I
0.0000 0.5000 0.8748 O
0.5000 0.0000 0.8748 O
```

The 10 most intense peaks (10 to 90 degrees two-theta), in order of falling intensity:
d (Å), intensity
3.028, 100
2.828, 43
1.669, 34
2.000, 20
1.792, 15
1.549, 15
2.445, 13
1.415, 10
1.265, 7
1.281, 7

=====

The following is a computed powder XRD pattern of GdYPI2. It was derived from a structure optimized by DFT (GGA-PBE), using Cu Kα, 1.54184 Å.
No peak broadening, texture or thermal motion is included.

Crystal structure
```
GdYPI2
1.0
4.1230 0.0000 0.0000
-2.0615 3.5706 0.0000
0.0000 0.0000 10.8586
Gd Y P I
1 1 1 2
Direct
0.0000 0.0000 0.0000 Gd
0.3333 0.6667 0.2754 Y
0.6667 0.3333 0.1394 P
0.0000 0.0000 0.4642 I
0.3333 0.6667 0.8093 I
```

The 10 most intense peaks (10 to 90 degrees two-theta), in order of falling intensity:
d (Å), intensity
2.983, 100
2.061, 29
2.161, 27
3.571, 24
1.696, 19
1.310, 16
5.429, 11
1.642, 9
1.208, 8
1.360, 8

=====

The following is a computed powder XRD pattern of GdTmSbI2. It was derived from a structure optimized by DFT (GGA-PBE), using Cu Kα, 1.54184 Å.
No peak broadening, texture or thermal motion is included.

Crystal structure
```
GdTmSbI2
1.0
4.3263 0.0000 0.0000
-2.1632 3.7467 0.0000
0.0000 0.0000 11.1737
Gd Tm Sb I
1 1 1 2
Direct
0.0000 0.0000 0.0000 Gd
0.3333 0.6667 0.3013 Tm
0.6667 0.3333 0.1556 Sb
0.0000 0.0000 0.4723 I
0.3333 0.6667 0.8232 I
```

The 10 most intense peaks (10 to 90 degrees two-theta), in order of falling intensity:
d (Å), intensity
3.112, 100
2.239, 35
2.163, 34
1.776, 20
1.373, 17
1.411, 14
1.556, 11
1.263, 11
2.641, 9
3.747, 9

=====

The following is a computed powder XRD pattern of GdTlI4. It was derived from a structure optimized by DFT (GGA-PBE), using Cu Kα, 1.54184 Å.
No peak broadening, texture or thermal motion is included.

Crystal structure
```
GdTlI4
1.0
7.5036 0.0000 0.0000
1.4749 7.7385 0.0000
0.0402 0.1553 8.5712
Gd Tl I
2 2 8
Direct
0.2010 0.1966 0.4433 Gd
0.7990 0.8034 0.5567 Gd
0.2219 0.6820 0.0535 Tl
0.7781 0.3180 0.9465 Tl
0.0706 0.9969 0.7301 I
0.1035 0.4965 0.6947 I
0.3666 0.2508 0.1262 I
0.4297 0.8065 0.3994 I
0.5703 0.1935 0.6006 I
0.6334 0.7492 0.8738 I
0.8965 0.5035 0.3053 I
0.9294 0.0031 0.2699 I
```

The 10 most intense peaks (10 to 90 degrees two-theta), in order of falling intensity:
d (Å), intensity
3.388, 100
2.663, 84
3.189, 65
2.898, 54
3.330, 50
2.481, 45
3.496, 43
3.446, 42
4.837, 39
2.153, 38

=====

The following is a computed powder XRD pattern of Gd3In4Ir2. It was derived from a structure optimized by DFT (GGA-PBE), using Cu Kα, 1.54184 Å.
No peak broadening, texture or thermal motion is included.

Crystal structure
```
Gd3In4Ir2
1.0
7.8307 0.0000 0.0000
-3.9153 6.7815 0.0000
0.0000 0.0000 3.9239
Gd In Ir
3 4 2
Direct
0.0814 0.7154 0.0000 Gd
0.2846 0.3660 0.0000 Gd
0.6340 0.9186 0.0000 Gd
0.0000 0.0000 0.5000 In
0.4139 0.0790 0.5000 In
0.6651 0.5861 0.5000 In
0.9210 0.3349 0.5000 In
0.3333 0.6667 0.5000 Ir
0.6667 0.3333 0.0000 Ir
```

The 10 most intense peaks (10 to 90 degrees two-theta), in order of falling intensity:
d (Å), intensity
2.565, 100
2.772, 63
2.146, 40
2.261, 37
1.481, 28
1.446, 28
1.962, 19
1.557, 18
6.782, 13
1.282, 11

=====

The following is a computed powder XRD pattern of Gd3In3NiIrPd. It was derived from a structure optimized by DFT (GGA-PBE), using Cu Kα, 1.54184 Å.
No peak broadening, texture or thermal motion is included.

Crystal structure
```
Gd3In3NiIrPd
1.0
7.6019 0.0000 0.0000
-3.8009 6.5834 0.0000
0.0000 0.0000 3.8868
Gd In Ni Ir Pd
3 3 1 1 1
Direct
0.0831 0.7374 0.0000 Gd
0.2626 0.3456 0.0000 Gd
0.6544 0.9169 0.0000 Gd
0.4198 0.0870 0.5000 In
0.6672 0.5802 0.5000 In
0.9130 0.3328 0.5000 In
0.6667 0.3333 0.0000 Ni
0.3333 0.6667 0.5000 Ir
0.0000 0.0000 0.5000 Pd
```

The 10 most intense peaks (10 to 90 degrees two-theta), in order of falling intensity:
d (Å), intensity
2.718, 100
2.512, 81
2.488, 55
2.194, 30
1.408, 26
2.096, 24
1.532, 24
1.943, 23
1.653, 17
1.455, 16

=====

The following is a computed powder XRD pattern of Gd3Zn2InNiIr2. It was derived from a structure optimized by DFT (GGA-PBE), using Cu Kα, 1.54184 Å.
No peak broadening, texture or thermal motion is included.

Crystal structure
```
Gd3Zn2InNiIr2
1.0
3.8621 0.0000 0.0000
0.0000 6.3419 3.6495
0.0000 -6.3419 3.6495
Gd Zn In Ni Ir
3 2 1 1 2
Direct
0.0000 0.0000 0.0000 Gd
0.0000 0.3933 0.8105 Gd
0.0000 0.8105 0.3933 Gd
0.5000 0.1523 0.3984 Zn
0.5000 0.3984 0.1523 Zn
0.5000 0.6378 0.6378 In
0.0000 0.3881 0.3881 Ni
0.5000 0.0681 0.7331 Ir
0.5000 0.7331 0.0681 Ir
```

The 10 most intense peaks (10 to 90 degrees two-theta), in order of falling intensity:
d (Å), intensity
2.655, 100
2.448, 76
2.395, 27
1.931, 22
2.034, 21
2.109, 21
1.503, 19
6.330, 18
1.425, 18
1.300, 18

=====

The following is a computed powder XRD pattern of Gd16In4Ir4O. It was derived from a structure optimized by DFT (GGA-PBE), using Cu Kα, 1.54184 Å.
No peak broadening, texture or thermal motion is included.

Crystal structure
```
Gd16In4Ir4O
1.0
0.0000 6.8734 6.8734
6.8734 0.0000 6.8734
6.8734 6.8734 0.0000
Gd In Ir O
16 4 4 1
Direct
0.0587 0.0587 0.4413 Gd
0.0587 0.4413 0.0587 Gd
0.0587 0.4413 0.4413 Gd
0.1838 0.1838 0.8162 Gd
0.1838 0.8162 0.1838 Gd
0.1838 0.8162 0.8162 Gd
0.2027 0.5991 0.5991 Gd
0.4413 0.0587 0.0587 Gd
0.4413 0.0587 0.4413 Gd
0.4413 0.4413 0.0587 Gd
0.5991 0.2027 0.5991 Gd
0.5991 0.5991 0.2027 Gd
0.5991 0.5991 0.5991 Gd
0.8162 0.1838 0.1838 Gd
0.8162 0.1838 0.8162 Gd
0.8162 0.8162 0.1838 Gd
0.5027 0.8324 0.8324 In
0.8324 0.5027 0.8324 In
0.8324 0.8324 0.5027 In
0.8324 0.8324 0.8324 In
0.3916 0.3916 0.3916 Ir
0.3916 0.3916 0.8252 Ir
0.3916 0.8252 0.3916 Ir
0.8252 0.3916 0.3916 Ir
0.0000 0.0000 0.0000 O
```

The 10 most intense peaks (10 to 90 degrees two-theta), in order of falling intensity:
d (Å), intensity
2.646, 100
1.620, 39
2.806, 39
2.430, 37
1.587, 14
3.154, 14
1.115, 14
1.134, 13
1.382, 13
1.329, 12

=====

The following is a computed powder XRD pattern of Gd2TmIn3Ir2Pd. It was derived from a structure optimized by DFT (GGA-PBE), using Cu Kα, 1.54184 Å.
No peak broadening, texture or thermal motion is included.

Crystal structure
```
Gd2TmIn3Ir2Pd
1.0
3.8841 0.0000 0.0000
0.0000 6.5690 3.8258
0.0000 -6.5690 3.8258
Gd Tm In Ir Pd
2 1 3 2 1
Direct
0.0000 0.2057 0.7943 Gd
0.0000 0.7943 0.2057 Gd
0.0000 0.3863 0.3863 Tm
0.5000 0.0570 0.0570 In
0.5000 0.5351 0.7937 In
0.5000 0.7937 0.5351 In
0.5000 0.1327 0.4614 Ir
0.5000 0.4614 0.1327 Ir
0.0000 0.7938 0.7938 Pd
```

The 10 most intense peaks (10 to 90 degrees two-theta), in order of falling intensity:
d (Å), intensity
2.717, 100
2.518, 89
2.507, 73
2.726, 49
2.204, 46
1.942, 37
2.096, 26
1.457, 24
2.492, 22
2.190, 22

=====

The following is a computed powder XRD pattern of KGd2Zn2In. It was derived from a structure optimized by DFT (GGA-PBE), using Cu Kα, 1.54184 Å.
No peak broadening, texture or thermal motion is included.

Crystal structure
```
KGd2Zn2In
1.0
4.8596 0.0000 0.0000
-2.4298 4.2086 0.0000
0.0000 0.0000 7.9524
K Gd Zn In
1 2 2 1
Direct
0.0000 0.0000 0.0000 K
0.3333 0.6667 0.3343 Gd
0.3333 0.6667 0.7599 Gd
0.0000 0.0000 0.5041 Zn
0.6667 0.3333 0.1842 Zn
0.6667 0.3333 0.5955 In
```

The 10 most intense peaks (10 to 90 degrees two-theta), in order of falling intensity:
d (Å), intensity
2.890, 100
2.430, 70
7.952, 30
1.860, 27
2.243, 27
1.477, 25
4.209, 23
1.403, 12
1.364, 11
1.120, 10